(1)
Diffraction record for ThHg2Pd5. The XRD peak list is simulated, not measured: it uses a crystal structure in Alexandria, relaxed with GGA-PBE and Cu Kα X-rays.
Intensities are scaled so that the largest is 100.

Top 10 peaks for 2θ = 10–80°, in order of rising 2θ:
21.54°, rel. 12.3; 28.68°, rel. 18.8; 36.54°, rel. 98.7; 37.41°, rel. 100.0; 42.48°, rel. 71.7; 43.89°, rel. 32.0; 62.73°, rel. 43.1; 73.28°, rel. 24.2; 74.92°, rel. 24.4; 76.36°, rel. 12.5

Structural model:
```
8
Lattice="0.0000 4.1259 6.1257 2.9582 0.0000 6.1257 2.9582 4.1259 0.0000" Properties=species:S:1:pos:R:3 pbc="T T T"
Th 0.0000 0.0000 0.0000
Hg 2.9582 4.1259 3.2940
Hg 2.9582 4.1259 8.9573
Pd 1.4791 2.0629 1.5289
Pd 1.4791 2.0629 4.5968
Pd 2.9582 4.1259 6.1257
Pd 4.4373 6.1888 7.6545
Pd 4.4373 6.1888 10.7225
```


(2)
Diffraction record for LaNpN3. The XRD peak list is simulated, not measured: it uses a crystal structure in Alexandria, relaxed with GGA-PBE and Cu Kα X-rays.
Intensities are scaled so that the largest is 100.

Top 10 peaks for 2θ = 10–80°, in order of rising 2θ:
21.06°, rel. 20.0; 29.76°, rel. 100.0; 30.16°, rel. 97.4; 42.89°, rel. 46.4; 52.57°, rel. 22.5; 53.23°, rel. 14.5; 53.37°, rel. 28.7; 53.57°, rel. 20.9; 62.72°, rel. 14.8; 70.94°, rel. 17.8

Structural model:
```
10
Lattice="5.1358 -2.9605 0.0000 5.1358 2.9605 0.0000 -3.4380 0.0000 4.9349" Properties=species:S:1:pos:R:3 pbc="T T T"
La 1.7404 0.0000 1.1623
La 5.0933 0.0000 3.7727
Np -1.7190 0.0000 2.4675
Np 5.1358 0.0000 0.0000
N 3.9302 1.4517 0.9312
N 0.2268 0.0000 3.1680
N 2.9035 1.4517 4.0037
N 3.9302 -1.4517 0.9312
N 6.6068 0.0000 1.7669
N 2.9035 -1.4517 4.0037
```


(3)
Diffraction record for Zr3Br2Cl4. The XRD peak list is simulated, not measured: it uses a crystal structure in Alexandria, relaxed with GGA-PBE and Cu Kα X-rays.
Intensities are scaled so that the largest is 100.

Top 10 peaks for 2θ = 10–80°, in order of rising 2θ:
11.72°, rel. 100.0; 29.73°, rel. 32.1; 32.06°, rel. 16.8; 33.77°, rel. 22.3; 35.86°, rel. 46.2; 38.29°, rel. 16.9; 40.99°, rel. 20.7; 43.95°, rel. 24.8; 52.76°, rel. 22.5; 74.26°, rel. 13.5

Structural model:
```
9
Lattice="3.4699 0.0000 0.0000 -1.7350 3.0050 0.0000 0.0000 0.0000 22.6428" Properties=species:S:1:pos:R:3 pbc="T T T"
Zr 0.0000 0.0000 0.0000
Zr 0.0000 0.0000 7.7376
Zr 1.7350 1.0017 15.1411
Br 1.7350 1.0017 1.8785
Br 1.7350 1.0017 20.7642
Cl 0.0000 0.0000 13.4408
Cl 0.0000 0.0000 16.8413
Cl 1.7350 1.0017 6.0366
Cl 1.7350 1.0017 9.4388
```


(4)
Diffraction record for ScSn2Ru2. The XRD peak list is simulated, not measured: it uses a crystal structure in Alexandria, relaxed with GGA-PBE and Cu Kα X-rays.
Intensities are scaled so that the largest is 100.

Top 10 peaks for 2θ = 10–80°, in order of rising 2θ:
21.67°, rel. 18.3; 27.23°, rel. 11.7; 39.86°, rel. 100.0; 40.45°, rel. 19.3; 57.29°, rel. 6.8; 58.05°, rel. 13.3; 72.02°, rel. 6.9; 72.30°, rel. 13.8; 72.46°, rel. 6.8; 73.18°, rel. 13.4

Structural model:
```
10
Lattice="4.4600 0.0000 0.0000 0.0000 4.5297 0.0000 0.0000 0.0000 9.6491" Properties=species:S:1:pos:R:3 pbc="T T T"
Sc 1.1150 1.1324 1.6489
Sc 3.3450 3.3973 8.0002
Sn 1.1150 1.1324 4.8075
Sn 1.1150 1.1324 8.0562
Sn 3.3450 3.3973 1.5930
Sn 3.3450 3.3973 4.8416
Ru 1.1150 3.3973 0.0274
Ru 1.1150 3.3973 3.2834
Ru 3.3450 1.1324 6.3658
Ru 3.3450 1.1324 9.6217
```